# KHoCoSi2O7
Computed PXRD pattern, CuKα. Input: a DFT-relaxed cell (GGA+U, Alexandria).
No peak broadening, texture or thermal motion is included.

Principal peaks in the range 5° ≤ 2θ ≤ 70°, in order of rising 2θ:
| 2theta | I/Imax |
| --- | --- |
| 15.9 | 87 |
| 20.2 | 55 |
| 28.2 | 69 |
| 29.3 | 100 |
| 29.9 | 48 |
| 32.5 | 43 |
| 34.4 | 37 |
| 43.1 | 34 |

Structure:
abc: 8.1020 9.9824 8.5948
angles: 90.00 108.08 90.00
Space group C2 (No. 5)
Inequivalent atoms, fractional coordinates:
K  0.2062  0.0000  0.2636 x4
Ho  0.2472  0.5744  0.1990 x4
Co  0.0000  0.2959  0.0000 x2
Co  0.0000  0.7846  0.5000 x2
Si  0.0719  0.3436  0.3534 x4
Si  0.1033  0.7576  0.8726 x4
O  0.0000  0.4103  0.5000 x2
O  0.0000  0.6938  0.0000 x2
O  0.0074  0.4299  0.1793 x4
O  0.0086  0.1925  0.6842 x4
O  0.0324  0.7033  0.3005 x4
O  0.1211  0.9179  0.8854 x4
O  0.2116  0.1816  0.0427 x4
O  0.2196  0.8828  0.5884 x4